1.
Calculated powder X-ray diffraction pattern of Tb7Dy5Ho for Cu Kα X-rays, from a structure optimized by DFT (PBE).
Lines closer than 0.1° are merged.

Cell and atoms:
```
data_Tb7Dy5Ho
_cell_length_a 6.6442
_cell_length_b 11.1289
_cell_length_c 11.5084
_cell_angle_alpha 90.00
_cell_angle_beta 90.00
_cell_angle_gamma 90.00
_symmetry_space_group_name_H-M 'I m m 2'
_symmetry_Int_Tables_number 44
_symmetry_space_group_name_Hall 'I 2 -2'
loop_
_atom_site_label
_atom_site_type_symbol
_atom_site_fract_x
_atom_site_fract_y
_atom_site_fract_z
Tb1 Tb 0.0000 0.0000 0.0000
Tb2 Tb 0.0000 0.0000 0.3068
Tb3 Tb 0.0000 0.3293 0.2518
Tb4 Tb 0.0000 0.3287 0.7510
Tb5 Tb 0.0000 0.5000 0.0012
Dy1 Dy 0.0000 0.5000 0.5013
Dy2 Dy 0.2322 0.2276 0.5017
Ho1 Ho 0.0000 0.0000 0.6935
```

Main lines, low angle first (10° ≤ 2θ ≤ 90°):
2θ 26.8, I = 25, hkl 2 0 0
2θ 27.5, I = 30, hkl 1 3 0
2θ 31.1, I = 100, hkl 0 0 4
2θ 31.4, I = 59, hkl 2 2 0
2θ 31.7, I = 81, hkl 1 3 2
2θ 35.1, I = 81, hkl 2 2 2
2θ 35.9, I = 27, hkl 0 4 2
2θ 56.9, I = 26, hkl 2 6 0
2θ 57.9, I = 33, hkl 2 2 6
2θ 66.2, I = 25, hkl 2 6 4

2.
Calculated powder X-ray diffraction pattern of La4CuRh2 for Cu Kα X-rays, from a structure optimized by DFT (PBE).
Lines closer than 0.1° are merged.

Cell and atoms:
```
data_La4CuRh2
_cell_length_a 11.9087
_cell_length_b 8.9875
_cell_length_c 7.7973
_cell_angle_alpha 90.00
_cell_angle_beta 110.66
_cell_angle_gamma 90.00
_symmetry_space_group_name_H-M 'C 1 m 1'
_symmetry_Int_Tables_number 8
_symmetry_space_group_name_Hall 'C -2y'
loop_
_atom_site_label
_atom_site_type_symbol
_atom_site_fract_x
_atom_site_fract_y
_atom_site_fract_z
La1 La 0.0000 0.0000 0.0000
La2 La 0.0013 0.0000 0.5171
La3 La 0.0042 0.5000 0.5198
La4 La 0.2298 0.2383 0.8775
La5 La 0.2402 0.2348 0.3829
La6 La 0.4945 0.0000 0.9951
Cu1 Cu 0.2810 0.5000 0.1564
Cu2 Cu 0.2864 0.5000 0.6479
Rh1 Rh 0.2688 0.0000 0.6443
Rh2 Rh 0.2805 0.0000 0.1571
Rh3 Rh 0.4612 0.2529 0.7371
```

Main lines, low angle first (10° ≤ 2θ ≤ 90°):
2θ 25.5, I = 42, hkl 2 2 0
2θ 31.3, I = 100, hkl 2 2 -2
2θ 31.6, I = 85, hkl 0 2 2
2θ 32.1, I = 73, hkl 4 0 0
2θ 38.6, I = 59, hkl 4 2 -2
2θ 39.4, I = 60, hkl 2 2 2
2θ 40.1, I = 54, hkl 0 4 0
2θ 46.6, I = 33, hkl 2 0 -4
2θ 52.3, I = 35, hkl 4 4 0
2θ 53.4, I = 28, hkl 6 2 0

3.
Calculated powder X-ray diffraction pattern of Dy8GeP3Se4 for Cu Kα X-rays, from a structure optimized by DFT (PBE).
Lines closer than 0.1° are merged.

Cell and atoms:
```
data_Dy8GeP3Se4
_cell_length_a 8.1020
_cell_length_b 8.1020
_cell_length_c 20.1196
_cell_angle_alpha 90.00
_cell_angle_beta 90.00
_cell_angle_gamma 120.00
_symmetry_space_group_name_H-M 'R -3 m'
_symmetry_Int_Tables_number 166
_symmetry_space_group_name_Hall '-R 3 2"'
loop_
_atom_site_label
_atom_site_type_symbol
_atom_site_fract_x
_atom_site_fract_y
_atom_site_fract_z
Dy1 Dy 0.0000 0.0000 0.2427
Dy2 Dy 0.0021 0.5011 0.7561
Ge1 Ge 0.0000 0.0000 0.5000
P1 P 0.0000 0.5000 0.5000
Se1 Se 0.0000 0.0000 0.0000
Se2 Se 0.0000 0.5000 0.0000
```

Main lines, low angle first (10° ≤ 2θ ≤ 90°):
2θ 26.6, I = 9, hkl 0 0 6
2θ 26.9, I = 29, hkl 2 0 2
2θ 31.1, I = 100, hkl 0 2 4
2θ 44.3, I = 35, hkl 2 0 8
2θ 44.7, I = 37, hkl 2 2 0
2θ 55.5, I = 19, hkl 4 0 4
2θ 64.8, I = 11, hkl 0 4 8
2θ 73.3, I = 14, hkl 2 2 12
2θ 73.9, I = 16, hkl 2 4 4
2θ 82.2, I = 12, hkl 4 2 8

4.
Calculated powder X-ray diffraction pattern of BaNa2AsH for Cu Kα X-rays, from a structure optimized by DFT (PBE).
Lines closer than 0.1° are merged.

Cell and atoms:
```
data_BaNa2AsH
_cell_length_a 4.6018
_cell_length_b 12.2427
_cell_length_c 8.8889
_cell_angle_alpha 90.00
_cell_angle_beta 90.00
_cell_angle_gamma 90.00
_symmetry_space_group_name_H-M 'C m c m'
_symmetry_Int_Tables_number 63
_symmetry_space_group_name_Hall '-C 2c 2'
loop_
_atom_site_label
_atom_site_type_symbol
_atom_site_fract_x
_atom_site_fract_y
_atom_site_fract_z
Ba1 Ba 0.0000 0.0556 0.2500
Na1 Na 0.0000 0.3284 0.0637
As1 As 0.0000 0.2348 0.7500
H1 H 0.0000 0.5000 0.0000
```

Main lines, low angle first (10° ≤ 2θ ≤ 90°):
2θ 20.0, I = 44, hkl 0 0 2
2θ 20.6, I = 30, hkl 1 1 0
2θ 28.9, I = 53, hkl 1 1 2
2θ 29.2, I = 13, hkl 1 3 0
2θ 30.9, I = 100, hkl 1 3 1
2θ 39.2, I = 18, hkl 2 0 0
2θ 42.5, I = 36, hkl 1 3 3
2θ 44.3, I = 12, hkl 2 0 2
2θ 50.7, I = 17, hkl 2 4 1
2θ 60.2, I = 16, hkl 0 4 5

5.
Calculated powder X-ray diffraction pattern of V6CrRu for Cu Kα X-rays, from a structure optimized by DFT (PBE).
Lines closer than 0.1° are merged.

Cell and atoms:
```
data_V6CrRu
_cell_length_a 4.7476
_cell_length_b 4.7451
_cell_length_c 4.7516
_cell_angle_alpha 90.00
_cell_angle_beta 90.09
_cell_angle_gamma 90.00
_symmetry_space_group_name_H-M 'P 1 2/m 1'
_symmetry_Int_Tables_number 10
_symmetry_space_group_name_Hall '-P 2y'
loop_
_atom_site_label
_atom_site_type_symbol
_atom_site_fract_x
_atom_site_fract_y
_atom_site_fract_z
V1 V 0.9996 0.0000 0.2468
V2 V 0.2531 0.5000 0.9998
V3 V 0.5000 0.2469 0.5000
Cr1 Cr 0.5000 0.0000 0.0000
Ru1 Ru 0.0000 0.5000 0.5000
```

Main lines, low angle first (10° ≤ 2θ ≤ 90°):
2θ 18.7, I = 10, hkl 1 0 0
2θ 26.5, I = 12, hkl 1 0 -1
2θ 37.9, I = 48, hkl 2 0 0
2θ 42.6, I = 86, hkl 2 0 -1
2θ 46.9, I = 100, hkl 2 1 1
2θ 71.7, I = 12, hkl 2 0 3
2θ 74.8, I = 23, hkl 1 2 3
2θ 74.9, I = 22, hkl 2 3 1
2θ 81.0, I = 9, hkl 4 0 0
2θ 81.1, I = 5, hkl 0 4 0

6.
Calculated powder X-ray diffraction pattern of InSe2S6 for Cu Kα X-rays, from a structure optimized by DFT (PBE).
Lines closer than 0.1° are merged.

Cell and atoms:
```
data_InSe2S6
_cell_length_a 15.5212
_cell_length_b 15.2559
_cell_length_c 5.1403
_cell_angle_alpha 90.00
_cell_angle_beta 93.32
_cell_angle_gamma 90.00
_symmetry_space_group_name_H-M 'C 1 2/c 1'
_symmetry_Int_Tables_number 15
_symmetry_space_group_name_Hall '-C 2yc'
loop_
_atom_site_label
_atom_site_type_symbol
_atom_site_fract_x
_atom_site_fract_y
_atom_site_fract_z
In1 In 0.0000 0.2169 0.2500
Se1 Se 0.1767 0.4122 0.0338
S1 S 0.0528 0.1299 0.8811
S2 S 0.0959 0.3504 0.4245
S3 S 0.1840 0.3179 0.7250
```

Main lines, low angle first (10° ≤ 2θ ≤ 90°):
2θ 11.6, I = 33, hkl 0 2 0
2θ 16.3, I = 43, hkl 2 2 0
2θ 18.1, I = 100, hkl 3 1 0
2θ 19.4, I = 29, hkl 1 1 1
2θ 24.4, I = 25, hkl 3 1 -1
2θ 24.6, I = 35, hkl 3 3 0
2θ 25.1, I = 50, hkl 1 3 -1
2θ 30.8, I = 19, hkl 3 3 1
2θ 32.0, I = 36, hkl 4 2 1
2θ 41.0, I = 22, hkl 4 0 -2

7.
Calculated powder X-ray diffraction pattern of Tb6Dy2Ga for Cu Kα X-rays, from a structure optimized by DFT (PBE).
Lines closer than 0.1° are merged.

Cell and atoms:
```
data_Tb6Dy2Ga
_cell_length_a 17.1582
_cell_length_b 9.2382
_cell_length_c 3.5294
_cell_angle_alpha 90.00
_cell_angle_beta 90.10
_cell_angle_gamma 90.00
_symmetry_space_group_name_H-M 'C 1 2/m 1'
_symmetry_Int_Tables_number 12
_symmetry_space_group_name_Hall '-C 2y'
loop_
_atom_site_label
_atom_site_type_symbol
_atom_site_fract_x
_atom_site_fract_y
_atom_site_fract_z
Tb1 Tb 0.0000 0.2170 0.0000
Tb2 Tb 0.1623 0.3285 0.4993
Dy1 Dy 0.1775 0.0000 0.9986
Ga1 Ga 0.0000 0.5000 0.5000
```

Main lines, low angle first (10° ≤ 2θ ≤ 90°):
2θ 27.5, I = 41, hkl 1 1 1
2θ 31.3, I = 100, hkl 6 0 0
2θ 32.9, I = 19, hkl 4 0 -1
2θ 33.0, I = 96, hkl 3 3 0
2θ 33.6, I = 65, hkl 2 2 -1
2θ 37.8, I = 23, hkl 5 1 -1
2θ 38.3, I = 37, hkl 4 2 1
2θ 53.8, I = 19, hkl 8 2 -1
2θ 56.8, I = 20, hkl 9 3 0
2θ 62.8, I = 36, hkl 3 3 2

8.
Calculated powder X-ray diffraction pattern of TePd4Se for Cu Kα X-rays, from a structure optimized by DFT (PBE).
Lines closer than 0.1° are merged.

Cell and atoms:
```
data_TePd4Se
_cell_length_a 4.3388
_cell_length_b 4.3388
_cell_length_c 21.4459
_cell_angle_alpha 90.00
_cell_angle_beta 90.00
_cell_angle_gamma 120.00
_symmetry_space_group_name_H-M 'R -3 m'
_symmetry_Int_Tables_number 166
_symmetry_space_group_name_Hall '-R 3 2"'
loop_
_atom_site_label
_atom_site_type_symbol
_atom_site_fract_x
_atom_site_fract_y
_atom_site_fract_z
Te1 Te 0.0000 0.0000 0.0000
Pd1 Pd 0.0000 0.0000 0.1286
Pd2 Pd 0.0000 0.0000 0.3802
Se1 Se 0.0000 0.0000 0.5000
```

Main lines, low angle first (10° ≤ 2θ ≤ 90°):
2θ 24.9, I = 12, hkl 0 0 6
2θ 25.1, I = 42, hkl 0 1 2
2θ 29.0, I = 35, hkl 1 0 4
2θ 41.4, I = 98, hkl 0 1 8
2θ 41.6, I = 100, hkl 1 1 0
2θ 49.1, I = 11, hkl 1 1 6
2θ 60.1, I = 32, hkl 2 0 8
2θ 75.3, I = 15, hkl 1 0 16
2θ 75.8, I = 32, hkl 1 2 8
2θ 76.0, I = 16, hkl 3 0 0

9.
Calculated powder X-ray diffraction pattern of Pr2GeS4 for Cu Kα X-rays, from a structure optimized by DFT (PBE).
Lines closer than 0.1° are merged.

Cell and atoms:
```
data_Pr2GeS4
_cell_length_a 6.6725
_cell_length_b 6.6725
_cell_length_c 7.4527
_cell_angle_alpha 90.00
_cell_angle_beta 90.00
_cell_angle_gamma 90.00
_symmetry_space_group_name_H-M 'I 4/m m m'
_symmetry_Int_Tables_number 139
_symmetry_space_group_name_Hall '-I 4 2'
loop_
_atom_site_label
_atom_site_type_symbol
_atom_site_fract_x
_atom_site_fract_y
_atom_site_fract_z
Pr1 Pr 0.0000 0.5000 0.2500
Ge1 Ge 0.0000 0.0000 0.0000
S1 S 0.2417 0.2417 0.5000
```

Main lines, low angle first (10° ≤ 2θ ≤ 90°):
2θ 18.8, I = 55, hkl 1 1 0
2θ 26.7, I = 27, hkl 2 0 0
2θ 30.6, I = 100, hkl 1 1 2
2θ 36.1, I = 57, hkl 2 0 2
2θ 38.1, I = 51, hkl 2 2 0
2θ 49.7, I = 51, hkl 3 1 2
2θ 55.1, I = 17, hkl 4 0 0
2θ 63.6, I = 22, hkl 2 2 4
2θ 67.6, I = 17, hkl 4 2 2
2θ 77.3, I = 14, hkl 5 1 2

10.
Calculated powder X-ray diffraction pattern of CuNi3Se4 for Cu Kα X-rays, from a structure optimized by DFT (PBE).
Lines closer than 0.1° are merged.

Cell and atoms:
```
data_CuNi3Se4
_cell_length_a 3.7821
_cell_length_b 3.7821
_cell_length_c 10.8781
_cell_angle_alpha 90.00
_cell_angle_beta 90.00
_cell_angle_gamma 90.00
_symmetry_space_group_name_H-M 'P -4 m 2'
_symmetry_Int_Tables_number 115
_symmetry_space_group_name_Hall 'P -4 -2'
loop_
_atom_site_label
_atom_site_type_symbol
_atom_site_fract_x
_atom_site_fract_y
_atom_site_fract_z
Cu1 Cu 0.0000 0.0000 0.0000
Ni1 Ni 0.0000 0.0000 0.5000
Ni2 Ni 0.5000 0.5000 0.2552
Se1 Se 0.0000 0.5000 0.1336
Se2 Se 0.0000 0.5000 0.6226
```

Main lines, low angle first (10° ≤ 2θ ≤ 90°):
2θ 28.8, I = 100, hkl 1 0 2
2θ 47.7, I = 47, hkl 1 1 4
2θ 48.1, I = 23, hkl 2 0 0
2θ 56.3, I = 14, hkl 1 0 6
2θ 57.0, I = 27, hkl 2 1 2
2θ 70.4, I = 7, hkl 2 2 0
2θ 77.1, I = 11, hkl 2 1 6
2θ 77.8, I = 5, hkl 3 0 2
2θ 88.6, I = 7, hkl 2 0 8
2θ 89.5, I = 15, hkl 3 1 4

11.
Calculated powder X-ray diffraction pattern of Li4Np3PtS8 for Cu Kα X-rays, from a structure optimized by DFT (PBE).
Lines closer than 0.1° are merged.

Cell and atoms:
```
data_Li4Np3PtS8
_cell_length_a 13.6998
_cell_length_b 7.4253
_cell_length_c 7.5379
_cell_angle_alpha 90.00
_cell_angle_beta 122.69
_cell_angle_gamma 90.00
_symmetry_space_group_name_H-M 'C 1 2/m 1'
_symmetry_Int_Tables_number 12
_symmetry_space_group_name_Hall '-C 2y'
loop_
_atom_site_label
_atom_site_type_symbol
_atom_site_fract_x
_atom_site_fract_y
_atom_site_fract_z
Li1 Li 0.0000 0.0000 0.0000
Li2 Li 0.0000 0.5000 0.0000
Li3 Li 0.2500 0.2500 0.5000
Np1 Np 0.0000 0.0000 0.5000
Np2 Np 0.2500 0.2500 0.0000
Pt1 Pt 0.0000 0.5000 0.5000
S1 S 0.0092 0.2786 0.7447
S2 S 0.2094 0.0000 0.2102
S3 S 0.2413 0.0000 0.7272
```

Main lines, low angle first (10° ≤ 2θ ≤ 90°):
2θ 14.1, I = 100, hkl 2 0 -1
2θ 25.9, I = 26, hkl 2 0 1
2θ 27.8, I = 41, hkl 0 2 1
2θ 28.6, I = 22, hkl 2 2 0
2θ 31.0, I = 28, hkl 4 0 0
2θ 33.9, I = 45, hkl 2 2 -2
2θ 35.8, I = 22, hkl 4 2 -1
2θ 44.3, I = 12, hkl 4 2 -3
2θ 46.4, I = 18, hkl 2 2 2
2θ 46.8, I = 17, hkl 6 2 -2

12.
Calculated powder X-ray diffraction pattern of CsV for Cu Kα X-rays, from a structure optimized by DFT (PBE).
Lines closer than 0.1° are merged.

Cell and atoms:
```
data_CsV
_cell_length_a 17.0988
_cell_length_b 4.7178
_cell_length_c 10.0215
_cell_angle_alpha 90.00
_cell_angle_beta 90.00
_cell_angle_gamma 90.00
_symmetry_space_group_name_H-M 'P n m a'
_symmetry_Int_Tables_number 62
_symmetry_space_group_name_Hall '-P 2ac 2n'
loop_
_atom_site_label
_atom_site_type_symbol
_atom_site_fract_x
_atom_site_fract_y
_atom_site_fract_z
Cs1 Cs 0.0391 0.2500 0.1767
Cs2 Cs 0.2256 0.7500 0.8216
V1 V 0.0217 0.2500 0.5405
V2 V 0.0879 0.7500 0.4833
```

Main lines, low angle first (10° ≤ 2θ ≤ 90°):
2θ 20.8, I = 100, hkl 0 1 1
2θ 22.6, I = 33, hkl 4 0 1
2θ 23.6, I = 29, hkl 3 0 2
2θ 26.1, I = 26, hkl 3 1 1
2θ 26.5, I = 38, hkl 1 1 2
2θ 27.2, I = 39, hkl 1 0 3
2θ 28.2, I = 21, hkl 4 1 0
2θ 29.6, I = 30, hkl 4 1 1
2θ 36.5, I = 20, hkl 3 1 3
2θ 38.2, I = 21, hkl 0 2 0